[1]
Simulated PXRD pattern of SXeO3F2 for Cu Ka, from a structure optimized by DFT (GGA-PBE).
Intensities are scaled so that the largest is 100.

Atomic structure:
```
data_SXeO3F2
_symmetry_space_group_name_H-M 'P b c a'
_symmetry_Int_Tables_number 61
_symmetry_space_group_name_Hall '-P 2ac 2ab'
_cell_length_a 10.2766
_cell_length_b 10.4153
_cell_length_c 10.5530
_cell_angle_alpha 90.00
_cell_angle_beta 90.00
_cell_angle_gamma 90.00
loop_
_atom_site_label
_atom_site_type_symbol
_atom_site_fract_x
_atom_site_fract_y
_atom_site_fract_z
S1 S 0.0369 0.2272 0.0148
Xe1 Xe 0.1746 0.0519 0.3328
O1 O 0.0206 0.1387 0.4571
O2 O 0.0390 0.7212 0.3713
O3 O 0.1677 0.1800 0.0114
F1 F 0.0416 0.6414 0.5859
F2 F 0.1895 0.0389 0.7217
```

Most intense lines, 10° ≤ 2θ ≤ 90°, by intensity:
2θ (°)	I/Imax
18.94	100
21.04	79
24.01	69
24.34	68
37.66	60
24.18	46


[2]
Simulated PXRD pattern of TiCl3 for Cu Ka, from a structure optimized by DFT (GGA-PBE).
Intensities are scaled so that the largest is 100.

Atomic structure:
```
data_TiCl3
_symmetry_space_group_name_H-M 'C 1 2/c 1'
_symmetry_Int_Tables_number 15
_symmetry_space_group_name_Hall '-C 2yc'
_cell_length_a 6.1471
_cell_length_b 10.6109
_cell_length_c 12.7015
_cell_angle_alpha 90.00
_cell_angle_beta 91.11
_cell_angle_gamma 90.00
loop_
_atom_site_label
_atom_site_type_symbol
_atom_site_fract_x
_atom_site_fract_y
_atom_site_fract_z
Ti1 Ti 0.0000 0.0163 0.2500
Ti2 Ti 0.0000 0.3347 0.2500
Cl1 Cl 0.1437 0.1755 0.1364
Cl2 Cl 0.1751 0.1455 0.6408
Cl3 Cl 0.1746 0.4968 0.1410
```

Most intense lines, 10° ≤ 2θ ≤ 90°, by intensity:
2θ (°)	I/Imax
13.95	100
32.30	81
32.60	56
40.72	42
18.17	32
51.55	25


[3]
Simulated PXRD pattern of Rb3Hg2S3ClO12 for Cu Ka, from a structure optimized by DFT (GGA-PBE).
Intensities are scaled so that the largest is 100.

Atomic structure:
```
data_Rb3Hg2S3ClO12
_symmetry_space_group_name_H-M 'P 1 21 1'
_symmetry_Int_Tables_number 4
_symmetry_space_group_name_Hall 'P 2yb'
_cell_length_a 8.0815
_cell_length_b 10.0438
_cell_length_c 10.2435
_cell_angle_alpha 90.00
_cell_angle_beta 110.88
_cell_angle_gamma 90.00
loop_
_atom_site_label
_atom_site_type_symbol
_atom_site_fract_x
_atom_site_fract_y
_atom_site_fract_z
Rb1 Rb 0.0982 0.0000 0.2679
Rb2 Rb 0.3164 0.3680 0.1311
Rb3 Rb 0.3241 0.1955 0.6987
Hg1 Hg 0.2401 0.8225 0.9528
Hg2 Hg 0.2648 0.6010 0.4995
S1 S 0.0293 0.6526 0.1084
S2 S 0.0938 0.8575 0.6089
S3 S 0.4512 0.5395 0.8597
Cl1 Cl 0.4759 0.4469 0.4800
O1 O 0.0156 0.0083 0.9074
O2 O 0.0223 0.6984 0.9614
O3 O 0.0378 0.9941 0.5543
O4 O 0.0424 0.2838 0.3582
O5 O 0.1011 0.2329 0.8560
O6 O 0.1329 0.7888 0.4880
O7 O 0.2122 0.6725 0.2096
O8 O 0.2652 0.8665 0.7318
O9 O 0.2758 0.5292 0.7439
O10 O 0.4118 0.0941 0.1886
O11 O 0.4355 0.6154 0.9798
O12 O 0.4971 0.3949 0.9101
```

Most intense lines, 10° ≤ 2θ ≤ 90°, by intensity:
2θ (°)	I/Imax
28.36	100
26.87	76
19.97	70
14.68	63
29.35	61
27.66	57


[4]
Simulated PXRD pattern of Eu2S3 for Cu Ka, from a structure optimized by DFT (GGA-PBE).
Intensities are scaled so that the largest is 100.

Atomic structure:
```
data_Eu2S3
_symmetry_space_group_name_H-M 'P n m a'
_symmetry_Int_Tables_number 62
_symmetry_space_group_name_Hall '-P 2ac 2n'
_cell_length_a 7.4058
_cell_length_b 4.0829
_cell_length_c 15.2648
_cell_angle_alpha 90.00
_cell_angle_beta 90.00
_cell_angle_gamma 90.00
loop_
_atom_site_label
_atom_site_type_symbol
_atom_site_fract_x
_atom_site_fract_y
_atom_site_fract_z
Eu1 Eu 0.1409 0.2500 0.2060
Eu2 Eu 0.2299 0.7500 0.4578
S1 S 0.0066 0.2500 0.3919
S2 S 0.1285 0.7500 0.0676
S3 S 0.1462 0.2500 0.7819
```

Most intense lines, 10° ≤ 2θ ≤ 90°, by intensity:
2θ (°)	I/Imax
25.59	100
34.75	80
26.27	69
28.02	54
44.38	53
38.79	47